The following is a theoretical XRD peak list of MnAgOs2O8. It was derived from the GGA+U geometry in Alexandria, using Cu Kα.
Intensities are scaled so that the largest is 100.

Most intense lines, 10° ≤ 2θ ≤ 80°, by angle:
2θ = 22.1°, intensity 100, hkl 0 1 1; 2θ = 30.3°, intensity 60, hkl 1 1 0; 2θ = 32.6°, intensity 36, hkl 1 0 2; 2θ = 33.4°, intensity 10, hkl 1 1 1; 2θ = 37.9°, intensity 12, hkl 0 2 1; 2θ = 45.1°, intensity 22, hkl 0 2 2; 2θ = 45.3°, intensity 16, hkl 0 1 3; 2θ = 49.3°, intensity 24, hkl 1 2 1; 2θ = 53.9°, intensity 12, hkl 3 0 0; 2θ = 55.3°, intensity 17, hkl 2 1 2; 2θ = 63.1°, intensity 10, hkl 2 2 0; 2θ = 64.6°, intensity 11, hkl 1 2 3

```
MnAgOs2O8
1.0
5.891 0.000 0.000
-2.946 5.102 0.000
0.000 0.000 6.532
Mn Ag Os O
1 1 2 8
Cartesian
0.000 0.000 0.000
0.000 0.000 3.266
0.000 3.401 1.855
2.946 1.701 4.677
0.000 1.680 1.336
-1.491 4.262 1.336
1.455 0.840 5.196
0.000 3.401 3.616
2.946 1.701 2.916
1.491 4.262 1.336
4.437 0.840 5.196
2.946 3.422 5.196
```